# 1
Simulated powder diffraction line list of AcZnSiAu6 for CuKα, from a cell relaxed with PBE.
Intensities are scaled so that the largest is 100.

Structural model:
```
data_AcZnSiAu6
_cell_length_a 8.2836
_cell_length_b 8.2836
_cell_length_c 8.2836
_cell_angle_alpha 127.95
_cell_angle_beta 117.26
_cell_angle_gamma 85.81
_space_group_name_H-M_alt 'P 1'
_space_group_IT_number 1
loop_
_space_group_symop_operation_xyz
'x,y,z'
loop_
_atom_site_label
_atom_site_type_symbol
_atom_site_fract_x
_atom_site_fract_y
_atom_site_fract_z
Ac1 Ac 0.4555 0.2055 0.2500
Ac2 Ac 0.5445 0.7945 0.7500
Zn1 Zn 0.0000 0.0000 0.5000
Zn2 Zn 0.0000 0.5000 0.0000
Si1 Si 0.0000 0.0000 0.0000
Si2 Si 0.5000 0.0000 0.5000
Au1 Au 0.1152 0.4250 0.2966
Au2 Au 0.1152 0.8186 0.6903
Au3 Au 0.1591 0.9091 0.2500
Au4 Au 0.2669 0.5169 0.7500
Au5 Au 0.3716 0.1814 0.7966
Au6 Au 0.3716 0.5750 0.1903
Au7 Au 0.6284 0.4250 0.8097
Au8 Au 0.6284 0.8186 0.2034
Au9 Au 0.7331 0.4831 0.2500
Au10 Au 0.8409 0.0909 0.7500
Au11 Au 0.8848 0.1814 0.3097
Au12 Au 0.8848 0.5750 0.7034
```

Peak list (10 most intense, 15° ≤ 2θ ≤ 90°, sorted by position)
| d [Å] | I (rel.) |
| --- | --- |
| 2.779 | 100 |
| 2.734 | 50 |
| 2.663 | 25 |
| 2.481 | 55 |
| 2.329 | 25 |
| 2.156 | 43 |
| 2.080 | 38 |
| 2.049 | 21 |
| 1.582 | 20 |
| 1.496 | 15 |

---

# 2
Simulated powder diffraction line list of AcSmAu for CuKα, from a cell relaxed with PBE.
Intensities are scaled so that the largest is 100.

Structural model:
```
data_AcSmAu
_cell_length_a 5.1248
_cell_length_b 8.1900
_cell_length_c 8.1900
_cell_angle_alpha 123.87
_cell_angle_beta 90.00
_cell_angle_gamma 90.00
_space_group_name_H-M_alt 'P 1'
_space_group_IT_number 1
loop_
_space_group_symop_operation_xyz
'x,y,z'
loop_
_atom_site_label
_atom_site_type_symbol
_atom_site_fract_x
_atom_site_fract_y
_atom_site_fract_z
Ac1 Ac 0.0000 0.0000 0.0000
Ac2 Ac 0.0000 0.2064 0.6039
Ac3 Ac 0.0000 0.6039 0.2064
Sm1 Sm 0.5000 0.3473 0.3473
Sm2 Sm 0.5000 0.6207 0.8798
Sm3 Sm 0.5000 0.8798 0.6207
Au1 Au 0.0000 0.5871 0.5871
Au2 Au 0.5000 0.2984 0.9564
Au3 Au 0.5000 0.9564 0.2984
```

Peak list (10 most intense, 15° ≤ 2θ ≤ 90°, sorted by position)
| d [Å] | I (rel.) |
| --- | --- |
| 3.194 | 100 |
| 3.080 | 66 |
| 2.953 | 45 |
| 2.833 | 89 |
| 2.707 | 22 |
| 2.562 | 63 |
| 2.409 | 25 |
| 2.267 | 57 |
| 1.861 | 29 |
| 1.698 | 36 |

---

# 3
Simulated powder diffraction line list of Ac2Sm3Au4 for CuKα, from a cell relaxed with PBE.
Intensities are scaled so that the largest is 100.

Structural model:
```
data_Ac2Sm3Au4
_cell_length_a 8.0472
_cell_length_b 7.9133
_cell_length_c 8.7302
_cell_angle_alpha 90.00
_cell_angle_beta 110.12
_cell_angle_gamma 90.00
_space_group_name_H-M_alt 'P 1'
_space_group_IT_number 1
loop_
_space_group_symop_operation_xyz
'x,y,z'
loop_
_atom_site_label
_atom_site_type_symbol
_atom_site_fract_x
_atom_site_fract_y
_atom_site_fract_z
Ac1 Ac 0.1949 0.1711 0.0932
Ac2 Ac 0.1949 0.3289 0.5932
Ac3 Ac 0.8051 0.6711 0.4068
Ac4 Ac 0.8051 0.8289 0.9068
Sm1 Sm 0.2450 0.6505 0.2515
Sm2 Sm 0.2450 0.8495 0.7515
Sm3 Sm 0.5000 0.0000 0.5000
Sm4 Sm 0.5000 0.5000 0.0000
Sm5 Sm 0.7550 0.1505 0.2485
Sm6 Sm 0.7550 0.3495 0.7485
Au1 Au 0.0989 0.5472 0.8811
Au2 Au 0.0989 0.9528 0.3811
Au3 Au 0.4859 0.6343 0.6224
Au4 Au 0.4859 0.8657 0.1224
Au5 Au 0.5141 0.1343 0.8776
Au6 Au 0.5141 0.3657 0.3776
Au7 Au 0.9011 0.0472 0.6189
Au8 Au 0.9011 0.4528 0.1189
```

Peak list (10 most intense, 15° ≤ 2θ ≤ 90°, sorted by position)
| d [Å] | I (rel.) |
| --- | --- |
| 3.145 | 41 |
| 3.052 | 32 |
| 2.946 | 67 |
| 2.902 | 25 |
| 2.849 | 19 |
| 2.810 | 100 |
| 2.731 | 95 |
| 2.519 | 31 |
| 2.511 | 48 |
| 1.473 | 20 |

---

# 4
Simulated powder diffraction line list of AcSm3Au2 for CuKα, from a cell relaxed with PBE.
Intensities are scaled so that the largest is 100.

Structural model:
```
data_AcSm3Au2
_cell_length_a 5.1062
_cell_length_b 9.2639
_cell_length_c 7.5515
_cell_angle_alpha 90.00
_cell_angle_beta 90.00
_cell_angle_gamma 90.00
_space_group_name_H-M_alt 'P 1'
_space_group_IT_number 1
loop_
_space_group_symop_operation_xyz
'x,y,z'
loop_
_atom_site_label
_atom_site_type_symbol
_atom_site_fract_x
_atom_site_fract_y
_atom_site_fract_z
Ac1 Ac 0.0000 0.0768 0.0000
Ac2 Ac 0.0000 0.9232 0.5000
Sm1 Sm 0.0000 0.3401 0.6370
Sm2 Sm 0.0000 0.6599 0.1370
Sm3 Sm 0.5000 0.1758 0.3429
Sm4 Sm 0.5000 0.4267 0.9757
Sm5 Sm 0.5000 0.5733 0.4757
Sm6 Sm 0.5000 0.8242 0.8429
Au1 Au 0.0000 0.3527 0.2448
Au2 Au 0.0000 0.6473 0.7448
Au3 Au 0.5000 0.1585 0.7361
Au4 Au 0.5000 0.8415 0.2361
```

Peak list (10 most intense, 15° ≤ 2θ ≤ 90°, sorted by position)
| d [Å] | I (rel.) |
| --- | --- |
| 3.123 | 76 |
| 2.927 | 23 |
| 2.885 | 100 |
| 2.642 | 60 |
| 2.553 | 58 |
| 2.212 | 20 |
| 2.194 | 20 |
| 2.165 | 21 |
| 1.617 | 19 |
| 1.431 | 24 |

---

# 5
Simulated powder diffraction line list of Ac2Sn5Au4 for CuKα, from a cell relaxed with PBE.
Intensities are scaled so that the largest is 100.

Structural model:
```
data_Ac2Sn5Au4
_cell_length_a 9.7695
_cell_length_b 8.6291
_cell_length_c 6.5609
_cell_angle_alpha 78.76
_cell_angle_beta 60.04
_cell_angle_gamma 41.20
_space_group_name_H-M_alt 'P 1'
_space_group_IT_number 1
loop_
_space_group_symop_operation_xyz
'x,y,z'
loop_
_atom_site_label
_atom_site_type_symbol
_atom_site_fract_x
_atom_site_fract_y
_atom_site_fract_z
Ac1 Ac 0.1418 0.1418 0.8582
Ac2 Ac 0.8582 0.8582 0.1418
Sn1 Sn 0.0000 0.0000 0.5000
Sn2 Sn 0.2500 0.2500 0.2500
Sn3 Sn 0.5000 0.5000 0.0000
Sn4 Sn 0.5000 0.5000 0.5000
Sn5 Sn 0.7500 0.7500 0.7500
Au1 Au 0.2260 0.4745 0.5255
Au2 Au 0.4745 0.2260 0.7740
Au3 Au 0.5255 0.7740 0.2260
Au4 Au 0.7740 0.5255 0.4745
```

Peak list (10 most intense, 15° ≤ 2θ ≤ 90°, sorted by position)
| d [Å] | I (rel.) |
| --- | --- |
| 3.321 | 26 |
| 3.256 | 39 |
| 3.213 | 29 |
| 2.864 | 53 |
| 2.790 | 100 |
| 2.655 | 20 |
| 2.551 | 69 |
| 1.987 | 38 |
| 1.870 | 20 |
| 1.797 | 28 |

---

# 6
Simulated powder diffraction line list of Ac2Sn3Au for CuKα, from a cell relaxed with PBE.
Intensities are scaled so that the largest is 100.

Structural model:
```
data_Ac2Sn3Au
_cell_length_a 9.6481
_cell_length_b 9.5074
_cell_length_c 6.6576
_cell_angle_alpha 70.80
_cell_angle_beta 68.53
_cell_angle_gamma 40.67
_space_group_name_H-M_alt 'P 1'
_space_group_IT_number 1
loop_
_space_group_symop_operation_xyz
'x,y,z'
loop_
_atom_site_label
_atom_site_type_symbol
_atom_site_fract_x
_atom_site_fract_y
_atom_site_fract_z
Ac1 Ac 0.2441 0.7559 0.7559
Ac2 Ac 0.2500 0.2500 0.2500
Ac3 Ac 0.7500 0.7500 0.7500
Ac4 Ac 0.7559 0.2441 0.2441
Sn1 Sn 0.1689 0.1689 0.8311
Sn2 Sn 0.1757 0.6531 0.3469
Sn3 Sn 0.3469 0.8243 0.1757
Sn4 Sn 0.6531 0.1757 0.8243
Sn5 Sn 0.8243 0.3469 0.6531
Sn6 Sn 0.8311 0.8311 0.1689
Au1 Au 0.3312 0.3312 0.6688
Au2 Au 0.6688 0.6688 0.3312
```

Peak list (10 most intense, 15° ≤ 2θ ≤ 90°, sorted by position)
| d [Å] | I (rel.) |
| --- | --- |
| 3.084 | 100 |
| 2.424 | 17 |
| 2.412 | 33 |
| 2.281 | 14 |
| 1.905 | 17 |
| 1.897 | 9 |
| 1.661 | 11 |
| 1.657 | 22 |
| 1.499 | 8 |
| 1.494 | 8 |

---

# 7
Simulated powder diffraction line list of Ac4Sn2Au for CuKα, from a cell relaxed with PBE.
Intensities are scaled so that the largest is 100.

Structural model:
```
data_Ac4Sn2Au
_cell_length_a 8.7099
_cell_length_b 8.7099
_cell_length_c 8.7099
_cell_angle_alpha 110.82
_cell_angle_beta 110.81
_cell_angle_gamma 106.81
_space_group_name_H-M_alt 'P 1'
_space_group_IT_number 1
loop_
_space_group_symop_operation_xyz
'x,y,z'
loop_
_atom_site_label
_atom_site_type_symbol
_atom_site_fract_x
_atom_site_fract_y
_atom_site_fract_z
Ac1 Ac 0.0039 0.8706 0.5120
Ac2 Ac 0.1291 0.1410 0.1333
Ac3 Ac 0.3709 0.5042 0.0119
Ac4 Ac 0.4961 0.0081 0.8667
Ac5 Ac 0.5077 0.9958 0.3667
Ac6 Ac 0.6414 0.6294 0.6333
Ac7 Ac 0.8586 0.4919 0.9880
Ac8 Ac 0.9923 0.3590 0.4881
Sn1 Sn 0.1326 0.7500 0.8826
Sn2 Sn 0.2500 0.6326 0.3826
Sn3 Sn 0.3674 0.2500 0.6174
Sn4 Sn 0.7500 0.8674 0.1174
Au1 Au 0.6260 0.3760 0.2500
Au2 Au 0.8740 0.1240 0.7500
```

Peak list (10 most intense, 15° ≤ 2θ ≤ 90°, sorted by position)
| d [Å] | I (rel.) |
| --- | --- |
| 3.267 | 100 |
| 3.142 | 79 |
| 3.127 | 91 |
| 2.726 | 57 |
| 2.679 | 66 |
| 2.652 | 49 |
| 2.034 | 33 |
| 1.972 | 31 |
| 1.943 | 30 |
| 1.570 | 21 |

---

# 8
Simulated powder diffraction line list of Ac8Sn3Au for CuKα, from a cell relaxed with PBE.
Intensities are scaled so that the largest is 100.

Structural model:
```
data_Ac8Sn3Au
_cell_length_a 9.6828
_cell_length_b 9.6828
_cell_length_c 9.6828
_cell_angle_alpha 132.11
_cell_angle_beta 132.11
_cell_angle_gamma 70.05
_space_group_name_H-M_alt 'P 1'
_space_group_IT_number 1
loop_
_space_group_symop_operation_xyz
'x,y,z'
loop_
_atom_site_label
_atom_site_type_symbol
_atom_site_fract_x
_atom_site_fract_y
_atom_site_fract_z
Ac1 Ac 0.1226 0.1226 0.4860
Ac2 Ac 0.1226 0.6366 0.0000
Ac3 Ac 0.3634 0.3634 0.4860
Ac4 Ac 0.3634 0.8774 0.0000
Ac5 Ac 0.6366 0.1226 0.0000
Ac6 Ac 0.6366 0.6366 0.5140
Ac7 Ac 0.8774 0.3634 0.0000
Ac8 Ac 0.8774 0.8774 0.5140
Sn1 Sn 0.2500 0.7500 0.5000
Sn2 Sn 0.5000 0.5000 0.0000
Sn3 Sn 0.7500 0.2500 0.5000
Au1 Au 0.0000 0.0000 0.0000
```

Peak list (10 most intense, 15° ≤ 2θ ≤ 90°, sorted by position)
| d [Å] | I (rel.) |
| --- | --- |
| 4.551 | 20 |
| 3.965 | 16 |
| 3.930 | 32 |
| 2.791 | 100 |
| 2.779 | 50 |
| 2.275 | 15 |
| 1.965 | 18 |
| 1.614 | 19 |
| 1.607 | 39 |
| 1.243 | 17 |

---

# 9
Simulated powder diffraction line list of Ac3SnAu for CuKα, from a cell relaxed with PBE.
Intensities are scaled so that the largest is 100.

Structural model:
```
data_Ac3SnAu
_cell_length_a 4.7308
_cell_length_b 7.6662
_cell_length_c 10.3699
_cell_angle_alpha 90.00
_cell_angle_beta 90.00
_cell_angle_gamma 90.00
_space_group_name_H-M_alt 'P 1'
_space_group_IT_number 1
loop_
_space_group_symop_operation_xyz
'x,y,z'
loop_
_atom_site_label
_atom_site_type_symbol
_atom_site_fract_x
_atom_site_fract_y
_atom_site_fract_z
Ac1 Ac 0.2500 0.0124 0.1683
Ac2 Ac 0.2500 0.2500 0.5702
Ac3 Ac 0.2500 0.4876 0.1683
Ac4 Ac 0.7500 0.5124 0.8317
Ac5 Ac 0.7500 0.7500 0.4298
Ac6 Ac 0.7500 0.9876 0.8317
Sn1 Sn 0.2500 0.7500 0.6563
Sn2 Sn 0.7500 0.2500 0.3437
Au1 Au 0.2500 0.2500 0.9075
Au2 Au 0.7500 0.7500 0.0925
```

Peak list (10 most intense, 15° ≤ 2θ ≤ 90°, sorted by position)
| d [Å] | I (rel.) |
| --- | --- |
| 4.026 | 27 |
| 3.595 | 19 |
| 3.495 | 41 |
| 3.151 | 20 |
| 3.082 | 20 |
| 2.863 | 100 |
| 2.791 | 20 |
| 2.567 | 17 |
| 2.365 | 31 |
| 2.256 | 20 |

---

# 10
Simulated powder diffraction line list of AcSnAu6 for CuKα, from a cell relaxed with PBE.
Intensities are scaled so that the largest is 100.

Structural model:
```
data_AcSnAu6
_cell_length_a 5.6449
_cell_length_b 5.6449
_cell_length_c 5.6449
_cell_angle_alpha 90.00
_cell_angle_beta 90.00
_cell_angle_gamma 90.00
_space_group_name_H-M_alt 'P 1'
_space_group_IT_number 1
loop_
_space_group_symop_operation_xyz
'x,y,z'
loop_
_atom_site_label
_atom_site_type_symbol
_atom_site_fract_x
_atom_site_fract_y
_atom_site_fract_z
Ac1 Ac 0.0000 0.0000 0.0000
Sn1 Sn 0.5000 0.5000 0.5000
Au1 Au 0.0000 0.2549 0.5000
Au2 Au 0.0000 0.7451 0.5000
Au3 Au 0.2549 0.5000 0.0000
Au4 Au 0.5000 0.0000 0.2549
Au5 Au 0.5000 0.0000 0.7451
Au6 Au 0.7451 0.5000 0.0000
```

Peak list (10 most intense, 15° ≤ 2θ ≤ 90°, sorted by position)
| d [Å] | I (rel.) |
| --- | --- |
| 2.822 | 29 |
| 2.524 | 100 |
| 2.305 | 66 |
| 1.630 | 10 |
| 1.566 | 24 |
| 1.509 | 36 |
| 1.411 | 16 |
| 1.262 | 10 |
| 1.232 | 22 |
| 1.203 | 9 |

---

# 11
Simulated powder diffraction line list of Ac2Sn3Au6 for CuKα, from a cell relaxed with PBE.
Intensities are scaled so that the largest is 100.

Structural model:
```
data_Ac2Sn3Au6
_cell_length_a 8.1060
_cell_length_b 8.1060
_cell_length_c 4.3658
_cell_angle_alpha 90.00
_cell_angle_beta 90.00
_cell_angle_gamma 90.20
_space_group_name_H-M_alt 'P 1'
_space_group_IT_number 1
loop_
_space_group_symop_operation_xyz
'x,y,z'
loop_
_atom_site_label
_atom_site_type_symbol
_atom_site_fract_x
_atom_site_fract_y
_atom_site_fract_z
Ac1 Ac 0.1980 0.8020 0.0000
Ac2 Ac 0.8020 0.1980 0.0000
Sn1 Sn 0.2876 0.2876 0.0000
Sn2 Sn 0.5000 0.5000 0.5000
Sn3 Sn 0.7124 0.7124 0.0000
Au1 Au 0.1198 0.1198 0.5000
Au2 Au 0.1625 0.4983 0.5000
Au3 Au 0.4983 0.1625 0.5000
Au4 Au 0.5017 0.8375 0.5000
Au5 Au 0.8375 0.5017 0.5000
Au6 Au 0.8802 0.8802 0.5000
```

Peak list (10 most intense, 15° ≤ 2θ ≤ 90°, sorted by position)
| d [Å] | I (rel.) |
| --- | --- |
| 4.366 | 29 |
| 3.472 | 25 |
| 2.970 | 99 |
| 2.791 | 100 |
| 2.702 | 84 |
| 2.393 | 48 |
| 2.298 | 52 |
| 2.183 | 49 |
| 1.914 | 25 |
| 1.698 | 43 |

---

# 12
Simulated powder diffraction line list of Ac2ZnSn2Au4 for CuKα, from a cell relaxed with PBE.
Intensities are scaled so that the largest is 100.

Structural model:
```
data_Ac2ZnSn2Au4
_cell_length_a 6.8330
_cell_length_b 6.8330
_cell_length_c 6.8330
_cell_angle_alpha 119.46
_cell_angle_beta 119.46
_cell_angle_gamma 90.94
_space_group_name_H-M_alt 'P 1'
_space_group_IT_number 1
loop_
_space_group_symop_operation_xyz
'x,y,z'
loop_
_atom_site_label
_atom_site_type_symbol
_atom_site_fract_x
_atom_site_fract_y
_atom_site_fract_z
Ac1 Ac 0.2500 0.7500 0.5000
Ac2 Ac 0.7500 0.2500 0.5000
Zn1 Zn 0.0000 0.0000 0.0000
Sn1 Sn 0.3108 0.3108 0.0000
Sn2 Sn 0.6892 0.6892 0.0000
Au1 Au 0.2665 0.2665 0.5330
Au2 Au 0.2665 0.7335 0.0000
Au3 Au 0.7335 0.2665 0.0000
Au4 Au 0.7335 0.7335 0.4670
```

Peak list (10 most intense, 15° ≤ 2θ ≤ 90°, sorted by position)
| d [Å] | I (rel.) |
| --- | --- |
| 3.416 | 11 |
| 2.797 | 100 |
| 2.435 | 45 |
| 2.396 | 16 |
| 2.218 | 8 |
| 1.722 | 15 |
| 1.708 | 22 |
| 1.466 | 27 |
| 1.449 | 8 |
| 1.398 | 11 |

---

# 13
Simulated powder diffraction line list of Ac3Zn2SnAu6 for CuKα, from a cell relaxed with PBE.
Intensities are scaled so that the largest is 100.

Structural model:
```
data_Ac3Zn2SnAu6
_cell_length_a 6.4418
_cell_length_b 6.4418
_cell_length_c 8.7548
_cell_angle_alpha 90.00
_cell_angle_beta 90.00
_cell_angle_gamma 120.00
_space_group_name_H-M_alt 'P 1'
_space_group_IT_number 1
loop_
_space_group_symop_operation_xyz
'x,y,z'
loop_
_atom_site_label
_atom_site_type_symbol
_atom_site_fract_x
_atom_site_fract_y
_atom_site_fract_z
Ac1 Ac 0.0000 0.0000 0.0000
Ac2 Ac 0.3333 0.6667 0.6327
Ac3 Ac 0.6667 0.3333 0.3673
Zn1 Zn 0.3333 0.6667 0.0238
Zn2 Zn 0.6667 0.3333 0.9762
Sn1 Sn 0.0000 0.0000 0.5000
Au1 Au 0.1850 0.3699 0.2762
Au2 Au 0.1850 0.8150 0.2762
Au3 Au 0.3699 0.1850 0.7238
Au4 Au 0.6301 0.8150 0.2762
Au5 Au 0.8150 0.1850 0.7238
Au6 Au 0.8150 0.6301 0.7238
```

Peak list (10 most intense, 15° ≤ 2θ ≤ 90°, sorted by position)
| d [Å] | I (rel.) |
| --- | --- |
| 3.444 | 17 |
| 3.221 | 18 |
| 2.918 | 18 |
| 2.658 | 100 |
| 2.594 | 35 |
| 2.586 | 19 |
| 2.352 | 56 |
| 2.016 | 18 |
| 1.610 | 27 |
| 1.519 | 19 |